Starting from a crystal structure in Alexandria, relaxed with PBE, the PXRD pattern of Bi3PdCl was calculated for Cu Kα (weighted mean of Kα1 and Kα2).

The 8 most intense peaks (2θ from 5° to 70°), by angle:
2θ (°)  I (rel.)
11.03  100.0
22.16  22.7
30.44  33.2
32.07  54.8
32.49  63.8
32.67  39.3
33.61  31.6
34.66  26.9

Structure:
a b c (Å): 8.5932 7.1383 9.7423
angles (deg): 90.00 110.98 90.00
Sites, in units of the cell vectors:
Bi: 0.1671 0.0949 0.1382
Bi: 0.1671 0.4051 0.6382
Bi: 0.1697 0.6124 0.9731
Bi: 0.1697 0.8876 0.4731
Bi: 0.2595 0.5180 0.3393
Bi: 0.2595 0.9820 0.8393
Bi: 0.7405 0.0180 0.1607
Bi: 0.7405 0.4820 0.6607
Bi: 0.8303 0.1124 0.5269
Bi: 0.8303 0.3876 0.0269
Bi: 0.8329 0.5949 0.3618
Bi: 0.8329 0.9051 0.8618
Pd: 0.0073 0.2489 0.3450
Pd: 0.0073 0.2511 0.8450
Pd: 0.9927 0.7489 0.1550
Pd: 0.9927 0.7511 0.6550
Cl: 0.4797 0.1572 0.6639
Cl: 0.4797 0.3428 0.1639
Cl: 0.5203 0.6572 0.8361
Cl: 0.5203 0.8428 0.3361

---

Starting from a crystal structure in Alexandria, relaxed with PBE, the PXRD pattern of BiPdCl6 was calculated for Cu Kα (weighted mean of Kα1 and Kα2).

The 8 most intense peaks (2θ from 5° to 70°), by angle:
2θ (°)  I (rel.)
15.20  100.0
15.79  42.9
27.71  14.7
32.38  11.0
35.16  18.2
35.95  33.3
45.21  16.4
46.75  10.9

Structure:
a b c (Å): 6.9063 6.9063 6.7652
angles (deg): 108.03 108.03 108.70
Sites, in units of the cell vectors:
Bi: 0.0000 0.0000 0.0000
Pd: 0.0000 0.0000 0.5000
Cl: 0.0063 0.7022 0.1903
Cl: 0.2857 0.2857 0.4683
Cl: 0.2978 0.9937 0.8097
Cl: 0.7022 0.0063 0.1903
Cl: 0.7143 0.7143 0.5317
Cl: 0.9937 0.2978 0.8097

---

Starting from a crystal structure in Alexandria, relaxed with PBE, the PXRD pattern of Bi12PtCl12 was calculated for Cu Kα (weighted mean of Kα1 and Kα2).

The 8 most intense peaks (2θ from 5° to 70°), by angle:
2θ (°)  I (rel.)
12.98  100.0
13.12  66.6
13.40  33.3
18.69  28.7
22.60  23.5
27.66  17.5
29.37  45.6
29.63  30.5

Structure:
a b c (Å): 9.4867 9.5234 9.6769
angles (deg): 90.38 90.82 91.87
Sites, in units of the cell vectors:
Bi: 0.0000 0.0000 0.0000
Bi: 0.0025 0.5441 0.4157
Bi: 0.2427 0.0440 0.6798
Bi: 0.2536 0.3254 0.9738
Bi: 0.3154 0.7528 0.9473
Bi: 0.3318 0.0334 0.2435
Bi: 0.5701 0.0815 0.9225
Bi: 0.5841 0.5126 0.4643
Bi: 0.7601 0.5481 0.1992
Bi: 0.7740 0.7955 0.3839
Bi: 0.8199 0.6490 0.6776
Bi: 0.8251 0.3479 0.6022
Pt: 0.2854 0.0392 0.9621
Cl: 0.0250 0.7019 0.9825
Cl: 0.0356 0.9856 0.2900
Cl: 0.2102 0.3365 0.6872
Cl: 0.2673 0.7526 0.6634
Cl: 0.2975 0.3269 0.2624
Cl: 0.3622 0.7429 0.2358
Cl: 0.5324 0.0846 0.6360
Cl: 0.5435 0.3725 0.9309
Cl: 0.6074 0.7874 0.9077
Cl: 0.6208 0.0730 0.2132
Cl: 0.9481 0.0074 0.7136
Cl: 0.9629 0.2865 0.0121

---

Starting from a crystal structure in Alexandria, relaxed with PBE, the PXRD pattern of TlBi2PtCl was calculated for Cu Kα (weighted mean of Kα1 and Kα2).

The 8 most intense peaks (2θ from 5° to 70°), by angle:
2θ (°)  I (rel.)
17.68  40.6
23.99  75.3
29.01  79.3
32.49  100.0
35.80  38.7
40.79  39.0
49.11  64.0
60.15  45.6

Structure:
a b c (Å): 5.5119 5.5119 5.0168
angles (deg): 90.00 90.00 90.00
Sites, in units of the cell vectors:
Tl: 0.0000 0.0000 0.0000
Bi: 0.0000 0.5000 0.5000
Bi: 0.5000 0.0000 0.5000
Pt: 0.5000 0.5000 0.5000
Cl: 0.5000 0.5000 0.0000

---

Starting from a crystal structure in Alexandria, relaxed with PBE, the PXRD pattern of PuBiCl was calculated for Cu Kα (weighted mean of Kα1 and Kα2).

The 8 most intense peaks (2θ from 5° to 70°), by angle:
2θ (°)  I (rel.)
11.14  63.7
26.74  22.5
31.20  100.0
37.29  35.1
38.74  24.1
51.25  21.2
58.93  16.9
63.48  27.4

Structure:
a b c (Å): 8.2998 8.2998 8.2998
angles (deg): 156.29 156.29 33.78
Sites, in units of the cell vectors:
Pu: 0.0000 0.0000 0.0000
Bi: 0.3419 0.3419 0.0000
Cl: 0.6012 0.6012 0.0000

---

Starting from a crystal structure in Alexandria, relaxed with PBE, the PXRD pattern of Pu2BiCl2 was calculated for Cu Kα (weighted mean of Kα1 and Kα2).

The 8 most intense peaks (2θ from 5° to 70°), by angle:
2θ (°)  I (rel.)
8.79  86.0
24.38  19.1
27.94  100.0
33.63  18.7
38.22  38.8
41.57  36.6
50.83  19.6
67.69  16.9

Structure:
a b c (Å): 10.3730 10.3730 10.3730
angles (deg): 24.18 24.18 24.18
Sites, in units of the cell vectors:
Pu: 0.1015 0.1015 0.1015
Pu: 0.8985 0.8985 0.8985
Bi: 0.5000 0.5000 0.5000
Cl: 0.2772 0.2772 0.2772
Cl: 0.7228 0.7228 0.7228